(1)
This entry pairs a crystal structure of Pu2ZrH with its simulated X-ray powder pattern. Radiation: Cu Kα X-rays. Structure: a crystal structure in Alexandria, relaxed with GGA-PBE.

Crystal structure
```
4
Lattice="3.1222 0.0000 0.0000 0.0000 3.1222 0.0000 0.0000 0.0000 7.9979" Properties=species:S:1:pos:R:3 pbc="T T T"
Pu 0.0000 0.0000 1.5138
Pu 0.0000 0.0000 6.4841
Zr 1.5611 1.5611 3.9990
H 1.5611 1.5611 0.0000
```

The 12 most intense peaks (2θ from 10° to 90°), sorted by position:
22.2°, I = 27
28.6°, I = 69
30.7°, I = 60
33.6°, I = 45
36.5°, I = 100
40.9°, I = 62
44.7°, I = 35
53.9°, I = 48
59.2°, I = 21
65.6°, I = 28
69.8°, I = 22
71.6°, I = 29



(2)
This entry pairs a crystal structure of Pr3Y8Th2 with its simulated X-ray powder pattern. Radiation: Cu Kα X-rays. Structure: a crystal structure in Alexandria, relaxed with GGA-PBE.

Crystal structure
```
26
Lattice="6.8600 0.0000 0.0000 1.9941 8.5157 0.0000 1.3641 0.4248 14.9606" Properties=species:S:1:pos:R:3 pbc="T T T"
Pr 0.0000 0.0000 0.0000
Pr 2.2411 4.8567 5.3276
Pr 4.8741 8.1967 2.1435
Pr 5.1091 4.4702 7.4803
Pr 5.3441 0.7438 12.8170
Pr 7.9771 4.0838 9.6330
Y 3.0141 6.9155 9.1088
Y 2.0007 0.9758 11.5452
Y 3.5336 3.5242 14.2364
Y 3.1274 5.4054 1.7478
Y 3.9944 7.6147 5.7882
Y 4.4110 3.8664 10.8815
Y 5.4305 6.4557 13.3239
Y 3.9107 1.8200 4.9073
Y 6.3075 7.1205 10.0533
Y 4.7877 2.4847 1.6367
Y 5.8071 5.0741 4.0791
Y 6.2238 1.3258 9.1724
Y 7.0908 3.5350 13.2128
Y 6.6846 5.4163 0.7242
Y 8.2174 7.9646 3.4153
Y 7.2041 2.0249 5.8517
Th 1.2485 2.6869 2.6277
Th 2.9739 1.3751 8.2508
Th 7.2443 7.5654 6.7097
Th 8.9697 6.2536 12.3329
```

The 12 most intense peaks (2θ from 10° to 90°), sorted by position:
29.6°, I = 57
31.1°, I = 66
31.2°, I = 91
31.4°, I = 100
31.8°, I = 60
31.9°, I = 80
32.3°, I = 27
33.5°, I = 36
42.6°, I = 22
46.8°, I = 22
56.3°, I = 26
62.6°, I = 30



(3)
This entry pairs a crystal structure of K2HgCl2F2 with its simulated X-ray powder pattern. Radiation: Cu Kα X-rays. Structure: a crystal structure in Alexandria, relaxed with GGA-PBE.

Crystal structure
```
7
Lattice="-2.3771 2.3771 7.6627 2.3771 -2.3771 7.6627 2.3771 2.3771 -7.6627" Properties=species:S:1:pos:R:3 pbc="T T T"
K 0.0000 0.0000 1.8768
K 0.0000 0.0000 13.4486
Hg 0.0000 0.0000 7.6627
Cl 0.0000 0.0000 5.1103
Cl 0.0000 0.0000 10.2151
F 2.3771 0.0000 0.0000
F 0.0000 2.3771 0.0000
```

The 12 most intense peaks (2θ from 10° to 90°), sorted by position:
11.5°, I = 100
19.5°, I = 93
25.6°, I = 52
26.5°, I = 74
34.8°, I = 64
37.8°, I = 44
39.7°, I = 22
42.9°, I = 26
44.6°, I = 18
46.3°, I = 23
52.4°, I = 39
52.6°, I = 20



(4)
This entry pairs a crystal structure of CsZnGePSe with its simulated X-ray powder pattern. Radiation: Cu Kα X-rays. Structure: a crystal structure in Alexandria, relaxed with GGA-PBE.

Crystal structure
```
5
Lattice="6.6895 -1.9392 0.0000 6.6895 1.9392 0.0000 -0.8570 0.0000 6.7484" Properties=species:S:1:pos:R:3 pbc="T T T"
Cs 0.0000 0.0000 0.0000
Zn 9.2228 0.0000 4.1517
Ge 3.8174 0.0000 1.5107
P 9.0121 0.0000 1.8736
Se 2.7170 0.0000 5.5777
```

The 12 most intense peaks (2θ from 10° to 90°), sorted by position:
13.1°, I = 46
13.3°, I = 35
17.5°, I = 26
19.9°, I = 34
26.9°, I = 100
28.1°, I = 34
28.4°, I = 25
30.7°, I = 56
31.2°, I = 24
32.4°, I = 27
36.6°, I = 42
52.1°, I = 25



(5)
This entry pairs a crystal structure of K2NaFeCl6 with its simulated X-ray powder pattern. Radiation: Cu Kα X-rays. Structure: a crystal structure in Alexandria, relaxed with GGA-PBE.

Crystal structure
```
20
Lattice="7.1031 0.0000 0.0000 0.0000 10.0372 0.0000 0.0000 0.0000 7.0946" Properties=species:S:1:pos:R:3 pbc="T T T"
K 1.7758 10.0331 1.7686
K 1.7758 5.0227 1.7686
K 5.3273 0.0041 5.3259
K 5.3273 5.0145 5.3259
Na 1.7758 2.5093 5.3137
Na 5.3273 7.5279 1.7809
Fe 1.7758 7.5279 5.3258
Fe 5.3273 2.5093 1.7688
Cl 0.1586 7.5279 3.7073
Cl 0.1576 7.5279 6.9434
Cl 1.7758 5.2400 5.3266
Cl 1.7758 9.8159 5.3266
Cl 3.3929 7.5279 3.7073
Cl 3.3940 7.5279 6.9434
Cl 3.7091 2.5093 0.1512
Cl 3.7102 2.5093 3.3873
Cl 5.3273 0.2214 1.7680
Cl 5.3273 4.7973 1.7680
Cl 6.9455 2.5093 0.1512
Cl 6.9445 2.5093 3.3873
```

The 12 most intense peaks (2θ from 10° to 90°), sorted by position:
15.3°, I = 38
17.7°, I = 29
25.1°, I = 37
30.9°, I = 64
35.8°, I = 100
44.2°, I = 13
47.0°, I = 13
51.5°, I = 58
58.1°, I = 9
61.2°, I = 16
64.3°, I = 17
86.8°, I = 17



(6)
This entry pairs a crystal structure of Cu2SiNi with its simulated X-ray powder pattern. Radiation: Cu Kα X-rays. Structure: a crystal structure in Alexandria, relaxed with GGA-PBE.

Crystal structure
```
8
Lattice="-3.3025 3.3025 2.3559 3.3025 -3.3025 2.3559 3.3025 3.3025 -2.3559" Properties=species:S:1:pos:R:3 pbc="T T T"
Cu 4.9538 1.5694 -0.5890
Cu 1.5694 1.6513 0.5890
Cu -1.6513 1.7332 1.7670
Cu 1.7332 1.6513 2.9449
Si 0.0000 0.0000 0.0000
Si 0.0000 3.3025 1.1780
Ni 3.3025 0.0000 1.1780
Ni 0.0000 0.0000 2.3559
```

The 12 most intense peaks (2θ from 10° to 90°), sorted by position:
23.2°, I = 6
27.0°, I = 9
35.9°, I = 10
38.6°, I = 100
43.0°, I = 76
45.5°, I = 4
55.7°, I = 32
59.1°, I = 54
72.8°, I = 14
82.6°, I = 9
85.6°, I = 17
88.0°, I = 16



(7)
This entry pairs a crystal structure of In7Pb6 with its simulated X-ray powder pattern. Radiation: Cu Kα X-rays. Structure: a crystal structure in Alexandria, relaxed with GGA-PBE.

Crystal structure
```
13
Lattice="3.1181 1.8002 11.3910 -3.1181 1.8002 11.3910 0.0000 -3.6005 11.3910" Properties=species:S:1:pos:R:3 pbc="T T T"
In 0.0000 0.0000 0.0000
In 0.0000 -1.7824 8.7523
In -1.5436 0.8912 8.7523
In -1.5436 -0.8912 25.4207
In 1.5436 0.8912 8.7523
In 1.5436 -0.8912 25.4208
In 0.0000 1.7824 25.4208
Pb 0.0000 0.0000 5.6567
Pb 0.0000 0.0000 11.7964
Pb 0.0000 0.0000 15.4506
Pb 0.0000 0.0000 18.7224
Pb 0.0000 0.0000 22.3766
Pb 0.0000 0.0000 28.5164
```

The 12 most intense peaks (2θ from 10° to 90°), sorted by position:
28.6°, I = 82
31.0°, I = 66
31.4°, I = 19
32.7°, I = 100
33.3°, I = 86
34.8°, I = 19
35.8°, I = 29
52.2°, I = 30
53.4°, I = 25
53.7°, I = 28
56.8°, I = 22
59.3°, I = 36



(8)
This entry pairs a crystal structure of SrAlO3 with its simulated X-ray powder pattern. Radiation: Cu Kα X-rays. Structure: a crystal structure in Alexandria, relaxed with GGA-PBE.

Crystal structure
```
20
Lattice="4.8139 -5.3499 0.0000 4.8139 5.3499 0.0000 -0.2965 0.0000 4.9949" Properties=species:S:1:pos:R:3 pbc="T T T"
Sr 1.6887 1.1491 1.7404
Sr 1.5404 -1.1491 4.2379
Sr 7.7909 1.1491 0.7570
Sr 7.6426 -1.1491 3.2545
Al 4.7398 2.0651 1.2487
Al 4.5915 0.7874 3.7462
Al 4.7398 -0.7874 1.2487
Al 4.5915 -2.0651 3.7462
O 4.0824 4.0508 0.8543
O 5.3971 4.0508 1.6432
O 3.6644 2.0676 2.7328
O 3.7285 0.7216 0.3261
O 5.5186 2.0676 4.7596
O 3.5803 -0.7216 2.8235
O 5.7510 0.7216 2.1714
O 3.8127 -2.0676 0.2354
O 5.6027 -0.7216 4.6689
O 5.6668 -2.0676 2.2621
O 3.9341 -4.0508 3.3517
O 5.2489 -4.0508 4.1407
```

The 12 most intense peaks (2θ from 10° to 90°), sorted by position:
21.2°, I = 38
24.4°, I = 68
29.1°, I = 69
31.4°, I = 100
31.9°, I = 33
33.4°, I = 36
33.5°, I = 49
37.6°, I = 31
39.7°, I = 30
41.2°, I = 37
43.2°, I = 40
58.5°, I = 37



Repeat the second record exactly.
This entry pairs a crystal structure of Pr3Y8Th2 with its simulated X-ray powder pattern. Radiation: Cu Kα X-rays. Structure: a crystal structure in Alexandria, relaxed with GGA-PBE.

Crystal structure
```
26
Lattice="6.8600 0.0000 0.0000 1.9941 8.5157 0.0000 1.3641 0.4248 14.9606" Properties=species:S:1:pos:R:3 pbc="T T T"
Pr 0.0000 0.0000 0.0000
Pr 2.2411 4.8567 5.3276
Pr 4.8741 8.1967 2.1435
Pr 5.1091 4.4702 7.4803
Pr 5.3441 0.7438 12.8170
Pr 7.9771 4.0838 9.6330
Y 3.0141 6.9155 9.1088
Y 2.0007 0.9758 11.5452
Y 3.5336 3.5242 14.2364
Y 3.1274 5.4054 1.7478
Y 3.9944 7.6147 5.7882
Y 4.4110 3.8664 10.8815
Y 5.4305 6.4557 13.3239
Y 3.9107 1.8200 4.9073
Y 6.3075 7.1205 10.0533
Y 4.7877 2.4847 1.6367
Y 5.8071 5.0741 4.0791
Y 6.2238 1.3258 9.1724
Y 7.0908 3.5350 13.2128
Y 6.6846 5.4163 0.7242
Y 8.2174 7.9646 3.4153
Y 7.2041 2.0249 5.8517
Th 1.2485 2.6869 2.6277
Th 2.9739 1.3751 8.2508
Th 7.2443 7.5654 6.7097
Th 8.9697 6.2536 12.3329
```

The 12 most intense peaks (2θ from 10° to 90°), sorted by position:
29.6°, I = 57
31.1°, I = 66
31.2°, I = 91
31.4°, I = 100
31.8°, I = 60
31.9°, I = 80
32.3°, I = 27
33.5°, I = 36
42.6°, I = 22
46.8°, I = 22
56.3°, I = 26
62.6°, I = 30



Please write out number 2 again, unchanged.
This entry pairs a crystal structure of Pr3Y8Th2 with its simulated X-ray powder pattern. Radiation: Cu Kα X-rays. Structure: a crystal structure in Alexandria, relaxed with GGA-PBE.

Crystal structure
```
26
Lattice="6.8600 0.0000 0.0000 1.9941 8.5157 0.0000 1.3641 0.4248 14.9606" Properties=species:S:1:pos:R:3 pbc="T T T"
Pr 0.0000 0.0000 0.0000
Pr 2.2411 4.8567 5.3276
Pr 4.8741 8.1967 2.1435
Pr 5.1091 4.4702 7.4803
Pr 5.3441 0.7438 12.8170
Pr 7.9771 4.0838 9.6330
Y 3.0141 6.9155 9.1088
Y 2.0007 0.9758 11.5452
Y 3.5336 3.5242 14.2364
Y 3.1274 5.4054 1.7478
Y 3.9944 7.6147 5.7882
Y 4.4110 3.8664 10.8815
Y 5.4305 6.4557 13.3239
Y 3.9107 1.8200 4.9073
Y 6.3075 7.1205 10.0533
Y 4.7877 2.4847 1.6367
Y 5.8071 5.0741 4.0791
Y 6.2238 1.3258 9.1724
Y 7.0908 3.5350 13.2128
Y 6.6846 5.4163 0.7242
Y 8.2174 7.9646 3.4153
Y 7.2041 2.0249 5.8517
Th 1.2485 2.6869 2.6277
Th 2.9739 1.3751 8.2508
Th 7.2443 7.5654 6.7097
Th 8.9697 6.2536 12.3329
```

The 12 most intense peaks (2θ from 10° to 90°), sorted by position:
29.6°, I = 57
31.1°, I = 66
31.2°, I = 91
31.4°, I = 100
31.8°, I = 60
31.9°, I = 80
32.3°, I = 27
33.5°, I = 36
42.6°, I = 22
46.8°, I = 22
56.3°, I = 26
62.6°, I = 30